Starting from DFT lattice parameters and positions (PBE+U), the powder X-ray diffraction pattern of PH3WC5O5 was calculated for Cu Ka.

```
60
Lattice="11.1884 0.0000 0.0000 0.0000 6.8427 0.0000 -1.5900 0.0000 12.6825" Properties=species:S:1:pos:R:3 pbc="T T T"
P 2.0217 0.7305 2.2134
P 1.2267 2.6908 8.5546
P 8.3717 4.1519 4.1279
P 7.5768 6.1122 10.4691
H 1.0856 0.0441 1.3990
H 0.2906 3.3772 7.7403
H 0.8367 1.3599 8.2390
H 1.6317 2.0615 1.8977
H 3.1521 0.6577 1.3625
H 2.3571 2.7637 7.7037
H 7.2413 4.0790 4.9788
H 6.4464 6.1850 11.3201
H 7.9667 4.7812 10.7848
H 8.7617 5.4828 4.4435
H 9.3078 3.4655 4.9422
H 8.5128 6.7986 11.2835
W 1.4767 3.4666 11.0023
W 2.2717 6.7974 4.6611
W 7.3268 0.0453 8.0214
W 8.1217 3.3761 1.6802
C 0.4492 0.8166 5.1268
C -0.3457 2.6047 11.4681
C 1.3359 5.0085 4.2090
C 0.5409 5.2555 10.5502
C 3.2577 4.1061 0.2389
C 2.4628 6.1580 6.5801
C 2.4531 1.6880 11.4438
C 3.2480 1.7334 5.1025
C 3.3087 4.3319 10.5298
C 4.1037 5.9321 4.1885
C 5.4948 0.9106 8.4940
C 6.2898 2.5108 2.1527
C 6.3504 5.1093 7.5800
C 7.1454 5.1547 1.2387
C 7.1357 0.6847 6.1024
C 6.3407 2.7366 12.4436
C 9.0576 1.5872 2.1323
C 8.2626 1.8342 8.4735
C 9.9442 4.2380 1.2145
C 9.1492 6.0261 7.5557
O -0.5718 1.2980 5.4133
O -1.3668 2.1233 11.7546
O 0.8195 3.9900 3.9826
O 0.0245 6.2741 10.3238
O 3.3529 4.4778 1.3434
O 2.5579 5.7862 7.6846
O 2.9970 0.6954 11.7005
O 3.7920 2.7259 5.3592
O 4.4736 1.3969 8.7459
O 5.2686 2.0245 2.4046
O 4.3298 4.8182 10.2779
O 5.1248 5.4458 3.9367
O 5.8065 4.1168 7.3233
O 6.6015 6.1473 0.9820
O 7.0405 1.0565 4.9979
O 6.2455 2.3649 11.3392
O 9.5739 0.5686 2.3587
O 8.7789 2.8527 8.6999
O 10.9652 4.7194 0.9279
O 10.1702 5.5447 7.2692
```

The 10 most intense peaks (10° ≤ 2θ ≤ 90°), sorted by position:
2θ (°), I_rel
14.71, 97
15.20, 92
15.97, 94
16.33, 100
16.94, 73
17.16, 86
27.54, 49
28.14, 46
30.69, 61
39.68, 43


Starting from DFT lattice parameters and positions (PBE+U), the powder X-ray diffraction pattern of CaVP2O7 was calculated for Cu Ka.

```
22
Lattice="6.5975 0.0000 0.0000 0.8670 6.6087 0.0000 0.3940 2.7450 6.1889" Properties=species:S:1:pos:R:3 pbc="T T T"
Ca 1.2570 2.4006 2.0314
Ca 6.6014 6.9531 4.1575
V 2.9329 4.6243 4.4853
V 4.9256 4.7294 1.7036
P 1.6945 5.5051 1.5334
P 3.5157 7.9470 5.1188
P 4.3428 1.4066 1.0701
P 6.1639 3.8485 4.6555
O 0.7781 4.7737 4.8643
O 1.3667 6.8140 2.2239
O 2.2975 5.9498 0.1247
O 2.6613 6.7626 4.6916
O 2.7803 4.6558 2.2560
O 2.7769 2.4423 4.0584
O 2.9783 1.8145 0.4768
O 4.8801 7.5392 5.7121
O 5.0816 6.9113 2.1306
O 5.0782 4.6978 3.9329
O 5.1972 2.5910 1.4973
O 5.5610 3.4038 6.0642
O 6.4917 2.5396 3.9650
O 7.0804 4.5799 1.3246
```

The 10 most intense peaks (10° ≤ 2θ ≤ 90°), sorted by position:
2θ (°), I_rel
27.10, 41
28.76, 100
28.85, 78
29.56, 19
30.85, 74
30.99, 72
38.12, 19
41.13, 17
42.45, 22
50.01, 18


Starting from DFT lattice parameters and positions (PBE+U), the powder X-ray diffraction pattern of Li9Mn2Co5O16 was calculated for Cu Ka.

```
32
Lattice="7.6625 -1.4310 0.0000 7.6625 1.4310 0.0000 -0.7585 0.0000 13.2418" Properties=species:S:1:pos:R:3 pbc="T T T"
Li 0.0000 0.0000 0.0000
Li 1.5569 0.0000 4.7930
Li 3.1943 0.0000 9.6499
Li 5.6776 0.0000 1.6879
Li 7.2972 0.0000 6.2786
Li 8.8729 0.0000 11.3525
Li 11.2090 0.0000 3.1795
Li 12.9556 0.0000 7.8778
Li 14.0958 0.0000 3.9611
Mn 6.1026 0.0000 10.5461
Mn 11.6791 0.0000 12.2900
Co 0.4372 0.0000 8.7829
Co 2.6858 0.0000 0.6601
Co 4.5269 0.0000 5.3714
Co 8.3277 0.0000 2.5640
Co 10.1775 0.0000 7.2543
O -0.2966 0.0000 10.9170
O 1.1188 0.0000 6.8730
O 2.0712 0.0000 2.6165
O 2.8030 0.0000 11.8109
O 3.7991 0.0000 7.6854
O 4.9166 0.0000 3.6072
O 5.2371 0.0000 12.7319
O 6.7203 0.0000 8.4765
O 7.8903 0.0000 4.3123
O 9.1611 0.0000 0.2136
O 9.4306 0.0000 9.2629
O 10.8339 0.0000 5.3093
O 11.6736 0.0000 0.8582
O 12.4035 0.0000 10.4257
O 13.3547 0.0000 5.9216
O 14.8021 0.0000 1.9294
```

The 10 most intense peaks (10° ≤ 2θ ≤ 90°), sorted by position:
2θ (°), I_rel
18.22, 100
34.81, 16
36.45, 24
41.95, 28
44.13, 52
47.39, 9
57.93, 9
62.42, 15
62.61, 13
65.20, 11


Starting from DFT lattice parameters and positions (PBE+U), the powder X-ray diffraction pattern of VNiP2O8 was calculated for Cu Ka.

```
24
Lattice="4.8042 0.0000 0.0000 0.0000 5.8273 0.0000 -0.1696 0.0000 9.9220" Properties=species:S:1:pos:R:3 pbc="T T T"
V 0.1922 1.4568 2.7600
V 4.4424 4.3705 7.1620
Ni 2.0284 1.4568 7.6794
Ni 2.6062 4.3705 2.2426
P 0.3057 4.3705 4.0690
P 1.7204 4.3705 8.9617
P 2.9143 1.4568 0.9603
P 4.3289 1.4568 5.8530
O 0.7552 4.3705 5.5453
O 0.9944 3.1446 3.3116
O 0.9944 5.5963 3.3116
O 1.0226 1.4568 5.9845
O 0.9833 3.1963 8.1909
O 0.9833 5.5446 8.1909
O 1.3989 1.4568 1.2671
O 1.6344 4.3705 0.5202
O 3.0002 1.4568 9.4018
O 3.2357 4.3705 8.6549
O 3.6513 0.2827 1.7312
O 3.6513 2.6310 1.7312
O 3.6120 4.3705 3.9375
O 3.6402 0.2310 6.6104
O 3.6402 2.6827 6.6104
O 3.8794 1.4568 4.3767
```

The 10 most intense peaks (10° ≤ 2θ ≤ 90°), sorted by position:
2θ (°), I_rel
17.88, 92
20.40, 72
20.68, 46
23.55, 29
25.55, 75
25.77, 50
30.69, 100
36.16, 64
36.65, 68
37.13, 25


Starting from DFT lattice parameters and positions (PBE+U), the powder X-ray diffraction pattern of Ca3Mn4O8 was calculated for Cu Ka.

```
60
Lattice="11.2757 0.0000 0.0000 0.0000 6.0952 0.0000 -0.1964 0.0000 11.7253" Properties=species:S:1:pos:R:3 pbc="T T T"
Ca 0.0000 0.0031 0.0000
Ca -0.0982 6.0921 5.8626
Ca 2.3777 1.5609 8.4354
Ca 2.4759 4.5344 2.5727
Ca 5.4434 0.0658 5.8473
Ca 5.3452 6.0294 11.7099
Ca 5.5786 3.0206 5.8549
Ca 5.4804 3.0746 11.7175
Ca 8.0855 1.4480 2.5924
Ca 7.9874 4.6472 8.4550
Ca 11.1407 2.9872 0.0000
Ca 11.0425 3.1080 5.8626
Mn 0.0828 1.5801 3.1228
Mn -0.0154 4.5151 8.9855
Mn 2.6297 2.9644 11.3600
Mn 2.7278 3.1308 5.4974
Mn 2.7479 0.0944 5.2141
Mn 2.6497 6.0008 11.0767
Mn 4.8078 1.5795 2.6302
Mn 4.7096 4.5157 8.4928
Mn 5.4616 1.5013 8.9308
Mn 5.5598 4.5939 3.0682
Mn 8.3572 0.0605 5.4927
Mn 8.2590 6.0347 11.3553
Mn 8.2749 2.9309 11.0525
Mn 8.3731 3.1643 5.1899
Mn 10.5095 1.4713 8.6148
Mn 10.6077 4.6239 2.7521
O 0.5363 2.8259 7.9284
O 0.6345 3.2693 2.0658
O 0.5820 0.1421 8.0140
O 0.6802 5.9531 2.1513
O 1.3543 1.7013 4.9382
O 1.2561 4.3939 10.8008
O 1.3762 1.5596 10.8339
O 1.4744 4.5357 4.9712
O 3.6974 1.6455 6.3632
O 3.7956 4.4497 0.5006
O 3.9429 1.6060 0.5935
O 3.8448 4.4892 6.4561
O 4.0860 0.1270 9.5710
O 4.1842 5.9682 3.7084
O 4.1026 2.8469 9.6727
O 4.2008 3.2483 3.8100
O 6.2323 0.0158 7.9413
O 6.3305 6.0794 2.0787
O 6.2598 3.0329 8.0222
O 6.3580 3.0623 2.1596
O 6.8473 1.3712 10.8743
O 6.9455 4.7240 5.0116
O 7.1334 1.4680 4.9180
O 7.0352 4.6272 10.7806
O 9.4325 1.3946 0.5381
O 9.3343 4.7006 6.4007
O 9.4947 1.4485 6.3458
O 9.5929 4.6467 0.4832
O 9.7746 0.0019 3.7738
O 9.6765 6.0933 9.6364
O 9.6946 3.0132 9.5496
O 9.7927 3.0820 3.6870
```

The 10 most intense peaks (10° ≤ 2θ ≤ 90°), sorted by position:
2θ (°), I_rel
21.69, 29
22.06, 32
29.04, 31
30.50, 86
31.74, 37
33.13, 100
36.75, 36
46.35, 74
46.73, 62
55.89, 31


Starting from DFT lattice parameters and positions (PBE+U), the powder X-ray diffraction pattern of V3Cr2Sb3O16 was calculated for Cu Ka.

```
24
Lattice="5.3171 -3.0298 0.0000 5.3171 3.0298 0.0000 -0.0047 0.0000 9.1147" Properties=species:S:1:pos:R:3 pbc="T T T"
V 0.0000 0.0000 0.0000
V 4.4126 1.5137 4.5492
V 4.4126 -1.5137 4.5492
Cr 1.7213 0.0000 6.5484
Cr 5.2407 0.0000 2.0341
Sb 2.6450 1.5057 9.0822
Sb 2.6450 -1.5057 9.0822
Sb 7.0488 0.0000 4.5403
O 2.6475 1.4971 5.4799
O 4.3953 1.5053 0.9296
O 1.8296 0.0000 1.0647
O 3.2968 0.0000 7.8510
O 6.3359 1.7223 7.9269
O 6.0124 1.3003 3.3622
O 3.8316 0.0000 3.4583
O 2.6475 -1.4971 5.4799
O 5.2977 0.0000 5.5810
O 4.3953 -1.5053 0.9296
O 7.0784 0.0000 0.9874
O 6.0124 -1.3003 3.3622
O 8.8101 0.0000 8.0776
O 8.8480 0.0000 3.6040
O 6.3359 -1.7223 7.9269
O 10.6008 0.0000 5.4393
```

The 10 most intense peaks (10° ≤ 2θ ≤ 90°), sorted by position:
2θ (°), I_rel
19.32, 28
19.47, 100
34.05, 26
35.16, 18
35.33, 19
35.51, 44
39.54, 23
45.34, 17
45.60, 28
60.52, 18


Starting from DFT lattice parameters and positions (PBE+U), the powder X-ray diffraction pattern of HoZnNi2O6 was calculated for Cu Ka.

```
20
Lattice="7.4347 0.0000 0.0000 0.0000 5.3903 0.0000 0.0000 0.0000 5.1187" Properties=species:S:1:pos:R:3 pbc="T T T"
Ho 0.0000 0.9520 0.0000
Ho 3.7173 4.4383 2.5594
Zn 0.0000 3.7279 2.3428
Zn 3.7173 1.6624 4.9021
Ni 1.8578 1.3846 2.4557
Ni 1.8595 4.0057 5.0151
Ni 5.5768 1.3846 2.4557
Ni 5.5752 4.0057 5.0151
O 0.0000 1.6672 3.0128
O 0.0000 4.2193 4.3238
O 1.3448 2.4916 0.9724
O 1.4172 5.0719 1.5032
O 2.3001 0.3184 4.0625
O 2.3726 2.8987 3.5318
O 3.7173 1.1709 1.7645
O 3.7173 3.7231 0.4535
O 5.0621 2.8987 3.5318
O 5.1346 0.3184 4.0625
O 6.0175 5.0719 1.5032
O 6.0899 2.4916 0.9724
```

The 10 most intense peaks (10° ≤ 2θ ≤ 90°), sorted by position:
2θ (°), I_rel
21.07, 14
26.85, 18
33.24, 18
34.14, 100
35.06, 22
49.05, 31
50.70, 11
55.60, 14
61.68, 11
62.30, 21


Starting from DFT lattice parameters and positions (PBE+U), the powder X-ray diffraction pattern of NaAlMo2O8 was calculated for Cu Ka.

```
24
Lattice="4.8831 -2.7045 0.0000 4.8831 2.7045 0.0000 -0.0489 0.0000 13.5310" Properties=species:S:1:pos:R:3 pbc="T T T"
Na 4.8464 2.3202 10.1483
Na 4.8709 -2.3202 3.3828
Al 0.0000 0.0000 0.0000
Al -0.0245 0.0000 6.7655
Mo 3.2297 0.1590 1.6242
Mo 3.2052 -0.1590 8.3897
Mo 6.5120 0.1590 5.1413
Mo 6.4875 -0.1590 11.9068
O 1.5088 0.3742 1.0884
O 4.1626 1.7247 1.4810
O 4.0079 1.1257 7.4317
O 1.4843 -0.3742 7.8539
O 5.5791 1.7247 5.2845
O 3.2353 0.3775 10.0545
O 5.6849 1.1257 12.8648
O 3.2597 -0.3775 3.2890
O 6.4575 0.3775 10.2420
O 4.0323 -1.1257 0.6662
O 6.4820 -0.3775 3.4765
O 4.1382 -1.7247 8.2465
O 8.2330 0.3742 5.6771
O 5.7094 -1.1257 6.0993
O 5.5546 -1.7247 12.0500
O 8.2085 -0.3742 12.4426
```

The 10 most intense peaks (10° ≤ 2θ ≤ 90°), sorted by position:
2θ (°), I_rel
22.46, 52
22.93, 100
26.35, 10
32.09, 38
32.52, 14
33.12, 13
44.51, 10
51.56, 11
52.25, 10
67.14, 9


- Number 7 is which compound?
  HoZnNi2O6